Tb12PrSc7: theoretical XRD peak list (λ = 1.5418 Å (Cu Kα)), based on the PBE geometry in Alexandria.
No peak broadening, texture or thermal motion is included.

Peak list (10 most intense, 10° ≤ 2θ ≤ 90°, most intense first)
| Position (°2θ) | d [Å] | I (rel.) |
| --- | --- | --- |
| 25.5 | 3.500 | 100 |
| 33.2 | 2.700 | 98 |
| 32.1 | 2.790 | 78 |
| 33.6 | 2.668 | 45 |
| 47.9 | 1.898 | 44 |
| 35.8 | 2.508 | 36 |
| 34.0 | 2.638 | 35 |
| 46.7 | 1.944 | 34 |
| 51.0 | 1.792 | 34 |
| 29.9 | 2.986 | 29 |

Atomic structure:
```
data_Tb12PrSc7
_cell_length_a 16.2013
_cell_length_b 16.2013
_cell_length_c 8.0051
_cell_angle_alpha 90.00
_cell_angle_beta 90.00
_cell_angle_gamma 120.00
_space_group_name_H-M_alt 'R -3 m'
_space_group_IT_number 166
_space_group_name_Hall '-R 3 2"'
loop_
_atom_site_label
_atom_site_fract_x
_atom_site_fract_y
_atom_site_fract_z
Tb1 0.0000 0.2833 0.0000
Tb2 0.1103 0.2207 0.3069
Pr1 0.0000 0.0000 0.0000
Sc1 0.0000 0.0000 0.5000
Sc2 0.1082 0.5541 0.3907
```

***

Ac4Ga3Ni: theoretical XRD peak list (λ = 1.5418 Å (Cu Kα)), based on the PBE geometry in Alexandria.
No peak broadening, texture or thermal motion is included.

Peak list (10 most intense, 10° ≤ 2θ ≤ 90°, most intense first)
| Position (°2θ) | d [Å] | I (rel.) |
| --- | --- | --- |
| 28.8 | 3.097 | 100 |
| 30.3 | 2.950 | 56 |
| 25.6 | 3.485 | 44 |
| 36.6 | 2.453 | 31 |
| 51.7 | 1.767 | 26 |
| 38.3 | 2.352 | 25 |
| 40.9 | 2.207 | 21 |
| 46.6 | 1.949 | 18 |
| 52.6 | 1.741 | 18 |
| 37.7 | 2.389 | 18 |

Atomic structure:
```
data_Ac4Ga3Ni
_cell_length_a 4.413
_cell_length_b 4.704
_cell_length_c 11.364
_cell_angle_alpha 90.00
_cell_angle_beta 90.00
_cell_angle_gamma 90.00
_space_group_name_H-M_alt 'P m m 2'
_space_group_IT_number 25
loop_
_space_group_symop_operation_xyz
'x,y,z'
'-x,-y,z'
'-x,y,z'
'x,-y,z'
loop_
_atom_site_label
_atom_site_fract_x
_atom_site_fract_y
_atom_site_fract_z
Ac1 0.000 0.000 0.000
Ac2 0.000 0.500 0.471
Ac3 0.500 0.000 0.696
Ac4 0.500 0.500 0.197
Ga1 0.000 0.500 0.773
Ga2 0.500 0.000 0.392
Ga3 0.500 0.500 0.910
Ni1 0.000 0.000 0.284
```

***

Cs3Ag2Cl4F2: theoretical XRD peak list (λ = 1.5418 Å (Cu Kα)), based on the PBE geometry in Alexandria.
No peak broadening, texture or thermal motion is included.

Peak list (10 most intense, 10° ≤ 2θ ≤ 90°, most intense first)
| Position (°2θ) | d [Å] | I (rel.) |
| --- | --- | --- |
| 24.4 | 3.655 | 100 |
| 43.6 | 2.076 | 42 |
| 25.0 | 3.568 | 39 |
| 35.6 | 2.523 | 38 |
| 49.9 | 1.828 | 22 |
| 33.8 | 2.651 | 18 |
| 42.5 | 2.128 | 15 |
| 32.2 | 2.776 | 13 |
| 51.2 | 1.784 | 13 |
| 62.8 | 1.480 | 11 |

Atomic structure:
```
data_Cs3Ag2Cl4F2
_cell_length_a 5.046
_cell_length_b 5.046
_cell_length_c 26.511
_cell_angle_alpha 90.00
_cell_angle_beta 90.00
_cell_angle_gamma 90.00
_space_group_name_H-M_alt 'I 4/m m m'
_space_group_IT_number 139
_space_group_name_Hall '-I 4 2'
loop_
_atom_site_label
_atom_site_fract_x
_atom_site_fract_y
_atom_site_fract_z
Cs1 0.000 0.000 0.000
Cs2 0.000 0.000 0.194
Ag1 0.000 0.000 0.389
Cl1 0.000 0.500 0.093
F1 0.000 0.000 0.301
```

***

Pr2Nd4ErTh: theoretical XRD peak list (λ = 1.5418 Å (Cu Kα)), based on the PBE geometry in Alexandria.
No peak broadening, texture or thermal motion is included.

Peak list (10 most intense, 10° ≤ 2θ ≤ 90°, most intense first)
| Position (°2θ) | d [Å] | I (rel.) |
| --- | --- | --- |
| 32.0 | 2.800 | 100 |
| 29.2 | 3.061 | 63 |
| 53.5 | 1.713 | 35 |
| 41.7 | 2.164 | 24 |
| 58.6 | 1.575 | 13 |
| 53.6 | 1.710 | 12 |
| 68.6 | 1.369 | 11 |
| 49.7 | 1.836 | 7 |
| 81.8 | 1.178 | 7 |
| 84.9 | 1.142 | 6 |

Atomic structure:
```
data_Pr2Nd4ErTh
_cell_length_a 6.115
_cell_length_b 6.127
_cell_length_c 7.343
_cell_angle_alpha 90.00
_cell_angle_beta 90.13
_cell_angle_gamma 90.00
_space_group_name_H-M_alt 'P 1 2/m 1'
_space_group_IT_number 10
loop_
_space_group_symop_operation_xyz
'x,y,z'
'-x,-y,-z'
'-x,y,-z'
'x,-y,z'
loop_
_atom_site_label
_atom_site_fract_x
_atom_site_fract_y
_atom_site_fract_z
Pr1 0.000 0.000 0.000
Pr2 0.500 0.500 0.500
Nd1 0.000 0.500 0.246
Nd2 0.500 0.000 0.245
Er1 0.000 0.000 0.500
Th1 0.500 0.500 0.000
```

***

Tb2NdTh: theoretical XRD peak list (λ = 1.5418 Å (Cu Kα)), based on the PBE geometry in Alexandria.
No peak broadening, texture or thermal motion is included.

Peak list (10 most intense, 10° ≤ 2θ ≤ 90°, most intense first)
| Position (°2θ) | d [Å] | I (rel.) |
| --- | --- | --- |
| 31.3 | 2.856 | 100 |
| 55.7 | 1.649 | 40 |
| 44.9 | 2.020 | 19 |
| 74.2 | 1.277 | 17 |
| 65.3 | 1.428 | 12 |
| 82.8 | 1.166 | 4 |
| 19.0 | 4.665 | 3 |
| 36.9 | 2.436 | 2 |
| 49.2 | 1.853 | 1 |
| 22.0 | 4.040 | 1 |

Atomic structure:
```
data_Tb2NdTh
_cell_length_a 8.079
_cell_length_b 8.079
_cell_length_c 8.079
_cell_angle_alpha 90.00
_cell_angle_beta 90.00
_cell_angle_gamma 90.00
_space_group_name_H-M_alt 'F m -3 m'
_space_group_IT_number 225
_space_group_name_Hall '-F 4 2 3'
loop_
_atom_site_label
_atom_site_fract_x
_atom_site_fract_y
_atom_site_fract_z
Tb1 0.250 0.250 0.250
Nd1 0.000 0.000 0.000
Th1 0.000 0.000 0.500
```

***

AcPr5Nd2: theoretical XRD peak list (λ = 1.5418 Å (Cu Kα)), based on the PBE geometry in Alexandria.
No peak broadening, texture or thermal motion is included.

Peak list (10 most intense, 10° ≤ 2θ ≤ 90°, most intense first)
| Position (°2θ) | d [Å] | I (rel.) |
| --- | --- | --- |
| 29.2 | 3.053 | 100 |
| 33.9 | 2.644 | 51 |
| 48.7 | 1.870 | 37 |
| 57.9 | 1.594 | 29 |
| 78.9 | 1.213 | 15 |
| 57.8 | 1.596 | 15 |
| 60.7 | 1.527 | 13 |
| 81.4 | 1.182 | 11 |
| 81.3 | 1.184 | 6 |
| 71.4 | 1.321 | 4 |

Atomic structure:
```
data_AcPr5Nd2
_cell_length_a 7.470
_cell_length_b 14.951
_cell_length_c 5.297
_cell_angle_alpha 90.00
_cell_angle_beta 90.00
_cell_angle_gamma 90.00
_space_group_name_H-M_alt 'P b a m'
_space_group_IT_number 55
loop_
_space_group_symop_operation_xyz
'x,y,z'
'-x,-y,-z'
'-x,-y,z'
'x,y,-z'
'x+1/2,-y+1/2,-z'
'-x+1/2,y+1/2,z'
'-x+1/2,y+1/2,-z'
'x+1/2,-y+1/2,z'
loop_
_atom_site_label
_atom_site_fract_x
_atom_site_fract_y
_atom_site_fract_z
Ac1 0.000 0.000 0.000
Pr1 0.000 0.252 0.000
Pr2 0.000 0.500 0.000
Pr3 0.248 0.373 0.500
Nd1 0.249 0.627 0.500
```

***

CeGe2Au6: theoretical XRD peak list (λ = 1.5418 Å (Cu Kα)), based on the PBE geometry in Alexandria.
No peak broadening, texture or thermal motion is included.

Peak list (10 most intense, 10° ≤ 2θ ≤ 90°, most intense first)
| Position (°2θ) | d [Å] | I (rel.) |
| --- | --- | --- |
| 34.8 | 2.579 | 100 |
| 40.3 | 2.240 | 49 |
| 41.8 | 2.163 | 30 |
| 69.7 | 1.350 | 27 |
| 58.2 | 1.584 | 17 |
| 58.5 | 1.577 | 12 |
| 74.2 | 1.278 | 11 |
| 67.3 | 1.392 | 10 |
| 40.6 | 2.220 | 9 |
| 73.4 | 1.289 | 6 |

Atomic structure:
```
data_CeGe2Au6
_cell_length_a 4.480
_cell_length_b 4.480
_cell_length_c 8.880
_cell_angle_alpha 90.00
_cell_angle_beta 90.00
_cell_angle_gamma 90.00
_space_group_name_H-M_alt 'P 4/m m m'
_space_group_IT_number 123
_space_group_name_Hall '-P 4 2'
loop_
_atom_site_label
_atom_site_fract_x
_atom_site_fract_y
_atom_site_fract_z
Ce1 0.000 0.000 0.000
Ge1 0.500 0.500 0.138
Au1 0.000 0.000 0.500
Au2 0.000 0.500 0.284
Au3 0.500 0.500 0.500
```

***

K2SmB2O6: theoretical XRD peak list (λ = 1.5418 Å (Cu Kα)), based on the PBE geometry in Alexandria.
No peak broadening, texture or thermal motion is included.

Peak list (10 most intense, 10° ≤ 2θ ≤ 90°, most intense first)
| Position (°2θ) | d [Å] | I (rel.) |
| --- | --- | --- |
| 22.7 | 3.921 | 100 |
| 33.0 | 2.716 | 57 |
| 13.6 | 6.521 | 42 |
| 31.6 | 2.833 | 39 |
| 39.2 | 2.297 | 33 |
| 18.1 | 4.908 | 27 |
| 51.2 | 1.784 | 27 |
| 46.3 | 1.961 | 25 |
| 53.1 | 1.725 | 19 |
| 34.5 | 2.599 | 15 |

Atomic structure:
```
data_K2SmB2O6
_cell_length_a 5.6669
_cell_length_b 5.6669
_cell_length_c 6.5206
_cell_angle_alpha 90.00
_cell_angle_beta 90.00
_cell_angle_gamma 120.00
_space_group_name_H-M_alt 'P -3 m 1'
_space_group_IT_number 164
_space_group_name_Hall '-P 3 2"'
loop_
_atom_site_label
_atom_site_fract_x
_atom_site_fract_y
_atom_site_fract_z
K1 0.3333 0.6667 0.3263
Sm1 0.0000 0.0000 0.0000
B1 0.3333 0.6667 0.7972
O1 0.1932 0.3863 0.7924
```

***

RbSn: theoretical XRD peak list (λ = 1.5418 Å (Cu Kα)), based on the PBE geometry in Alexandria.
No peak broadening, texture or thermal motion is included.

Peak list (10 most intense, 10° ≤ 2θ ≤ 90°, most intense first)
| Position (°2θ) | d [Å] | I (rel.) |
| --- | --- | --- |
| 27.5 | 3.249 | 100 |
| 28.4 | 3.141 | 92 |
| 13.9 | 6.361 | 77 |
| 30.1 | 2.972 | 56 |
| 35.7 | 2.516 | 35 |
| 31.5 | 2.841 | 35 |
| 30.4 | 2.938 | 30 |
| 53.0 | 1.729 | 29 |
| 51.8 | 1.764 | 28 |
| 29.5 | 3.028 | 28 |

Atomic structure:
```
data_RbSn
_cell_length_a 11.881
_cell_length_b 11.881
_cell_length_c 19.475
_cell_angle_alpha 90.00
_cell_angle_beta 90.00
_cell_angle_gamma 90.00
_space_group_name_H-M_alt 'I 41/a c d'
_space_group_IT_number 142
loop_
_space_group_symop_operation_xyz
'x,y,z'
'-x,-y,-z'
'-y+1/4,x+3/4,z+1/4'
'y+1/4,-x+3/4,-z+1/4'
'-x+1/2,-y,z+1/2'
'x+1/2,y,-z+1/2'
'y+1/4,-x+1/4,z+3/4'
'-y+1/4,x+1/4,-z+3/4'
'x,-y,-z+1/2'
'-x,y,z+1/2'
'-y+1/4,-x+1/4,-z+1/4'
'y+1/4,x+1/4,z+1/4'
'-x+1/2,y,-z'
'x+1/2,-y,z'
'y+1/4,x+3/4,-z+3/4'
'-y+1/4,-x+3/4,z+3/4'
'x+1/2,y+1/2,z+1/2'
'-x+1/2,-y+1/2,-z+1/2'
'-y+3/4,x+1/4,z+3/4'
'y+3/4,-x+1/4,-z+3/4'
'-x,-y+1/2,z'
'x,y+1/2,-z'
'y+3/4,-x+3/4,z+1/4'
'-y+3/4,x+3/4,-z+1/4'
'x+1/2,-y+1/2,-z'
'-x+1/2,y+1/2,z'
'-y+3/4,-x+3/4,-z+3/4'
'y+3/4,x+3/4,z+3/4'
'-x,y+1/2,-z+1/2'
'x,-y+1/2,z+1/2'
'y+3/4,x+1/4,-z+1/4'
'-y+3/4,-x+1/4,z+1/4'
loop_
_atom_site_label
_atom_site_fract_x
_atom_site_fract_y
_atom_site_fract_z
Rb1 0.122 0.128 0.125
Rb2 0.138 0.000 0.750
Sn1 0.063 0.141 0.930
```

***

Pa4Ga16Pd3: theoretical XRD peak list (λ = 1.5418 Å (Cu Kα)), based on the PBE geometry in Alexandria.
No peak broadening, texture or thermal motion is included.

Peak list (10 most intense, 10° ≤ 2θ ≤ 90°, most intense first)
| Position (°2θ) | d [Å] | I (rel.) |
| --- | --- | --- |
| 37.7 | 2.387 | 100 |
| 41.0 | 2.200 | 68 |
| 31.5 | 2.842 | 50 |
| 20.2 | 4.401 | 36 |
| 33.0 | 2.718 | 32 |
| 72.5 | 1.303 | 26 |
| 58.9 | 1.567 | 22 |
| 52.6 | 1.740 | 22 |
| 40.4 | 2.232 | 22 |
| 59.4 | 1.556 | 21 |

Atomic structure:
```
data_Pa4Ga16Pd3
_cell_length_a 6.223
_cell_length_b 6.223
_cell_length_c 11.165
_cell_angle_alpha 90.00
_cell_angle_beta 90.00
_cell_angle_gamma 90.00
_space_group_name_H-M_alt 'P 4/m m m'
_space_group_IT_number 123
_space_group_name_Hall '-P 4 2'
loop_
_atom_site_label
_atom_site_fract_x
_atom_site_fract_y
_atom_site_fract_z
Pa1 0.000 0.500 0.188
Ga1 0.000 0.000 0.198
Ga2 0.212 0.212 0.000
Ga3 0.244 0.244 0.375
Ga4 0.500 0.500 0.229
Pd1 0.000 0.500 0.500
Pd2 0.500 0.500 0.000
```